[1]
Diffraction record for Ho5Zn2Ga5. The powder X-ray diffraction pattern is computed, not measured: it uses a structure optimized by DFT (GGA-PBE) and Cu Kα (λ = 1.5418 Å).
Lines closer than 0.1° are merged.

a = 8.098 Å, b = 8.098 Å, c = 9.310 Å
α = 125.05°, β = 125.05°, γ = 31.82°
Positions (direct):
Ho 0.000 0.000 0.000
Ho 0.142 0.142 0.452
Ho 0.143 0.143 0.833
Ho 0.857 0.857 0.167
Ho 0.858 0.858 0.548
Zn 0.340 0.340 0.839
Zn 0.660 0.660 0.161
Ga 0.264 0.264 0.264
Ga 0.500 0.500 0.206
Ga 0.500 0.500 0.500
Ga 0.500 0.500 0.794
Ga 0.736 0.736 0.736

Peak list (10 most intense, 10° ≤ 2θ ≤ 90°, sorted by position)
2θ 29.41, 3.037 Å, I = 15.4
2θ 29.66, 3.012 Å, I = 12.0
2θ 34.58, 2.594 Å, I = 16.3
2θ 35.29, 2.544 Å, I = 100.0
2θ 36.10, 2.488 Å, I = 17.8
2θ 36.47, 2.463 Å, I = 33.7
2θ 40.64, 2.220 Å, I = 26.6
2θ 55.48, 1.656 Å, I = 14.9
2θ 61.64, 1.505 Å, I = 13.8
2θ 70.50, 1.336 Å, I = 13.2



[2]
Diffraction record for Ho3Zn7Ga4. The powder X-ray diffraction pattern is computed, not measured: it uses a structure optimized by DFT (GGA-PBE) and Cu Kα (λ = 1.5418 Å).
Lines closer than 0.1° are merged.

a = 8.116 Å, b = 8.116 Å, c = 9.431 Å
α = 125.32°, β = 125.32°, γ = 30.47°
Positions (direct):
Ho 0.000 0.000 0.000
Ho 0.299 0.299 0.298
Ho 0.701 0.701 0.702
Zn 0.000 0.000 0.500
Zn 0.145 0.145 0.424
Zn 0.345 0.345 0.982
Zn 0.498 0.498 0.684
Zn 0.502 0.502 0.316
Zn 0.655 0.655 0.018
Zn 0.855 0.855 0.576
Ga 0.142 0.142 0.861
Ga 0.346 0.346 0.718
Ga 0.654 0.654 0.282
Ga 0.858 0.858 0.139

Peak list (10 most intense, 10° ≤ 2θ ≤ 90°, sorted by position)
2θ 29.93, 2.985 Å, I = 19.5
2θ 35.52, 2.527 Å, I = 100.0
2θ 35.64, 2.519 Å, I = 74.0
2θ 36.84, 2.440 Å, I = 33.7
2θ 38.36, 2.346 Å, I = 26.9
2θ 42.39, 2.133 Å, I = 45.8
2θ 43.30, 2.090 Å, I = 21.4
2θ 44.49, 2.036 Å, I = 18.0
2θ 55.65, 1.652 Å, I = 16.7
2θ 56.61, 1.626 Å, I = 15.2



[3]
Diffraction record for Ho3ZnGa. The powder X-ray diffraction pattern is computed, not measured: it uses a structure optimized by DFT (GGA-PBE) and Cu Kα (λ = 1.5418 Å).
Lines closer than 0.1° are merged.

a = 10.137 Å, b = 10.137 Å, c = 4.995 Å
α = 90.00°, β = 90.00°, γ = 151.45°
Positions (direct):
Ho 0.068 0.932 0.750
Ho 0.249 0.751 0.750
Ho 0.431 0.569 0.750
Ho 0.569 0.431 0.250
Ho 0.751 0.249 0.250
Ho 0.932 0.068 0.250
Zn 0.159 0.841 0.250
Zn 0.841 0.159 0.750
Ga 0.339 0.661 0.250
Ga 0.661 0.339 0.750

Peak list (10 most intense, 10° ≤ 2θ ≤ 90°, sorted by position)
2θ 25.62, 3.478 Å, I = 19.3
2θ 27.23, 3.275 Å, I = 11.9
2θ 34.13, 2.627 Å, I = 100.0
2θ 35.94, 2.498 Å, I = 52.8
2θ 41.07, 2.198 Å, I = 8.4
2θ 45.67, 1.986 Å, I = 12.0
2θ 51.74, 1.767 Å, I = 18.6
2θ 59.89, 1.544 Å, I = 10.3
2θ 63.45, 1.466 Å, I = 32.9
2θ 87.25, 1.117 Å, I = 8.5



[4]
Diffraction record for HoZn11Ga. The powder X-ray diffraction pattern is computed, not measured: it uses a structure optimized by DFT (GGA-PBE) and Cu Kα (λ = 1.5418 Å).
Lines closer than 0.1° are merged.

a = 6.804 Å, b = 6.804 Å, c = 6.790 Å
α = 98.54°, β = 98.54°, γ = 134.56°
Positions (direct):
Ho 0.000 0.000 0.000
Zn 0.000 0.000 0.500
Zn 0.000 0.500 0.000
Zn 0.010 0.653 0.647
Zn 0.279 0.496 0.786
Zn 0.347 0.990 0.353
Zn 0.496 0.279 0.786
Zn 0.500 0.000 0.000
Zn 0.504 0.721 0.214
Zn 0.653 0.010 0.647
Zn 0.721 0.504 0.214
Zn 0.990 0.347 0.353
Ga 0.500 0.500 0.500

Peak list (10 most intense, 10° ≤ 2θ ≤ 90°, sorted by position)
2θ 28.18, 3.166 Å, I = 22.5
2θ 34.12, 2.628 Å, I = 17.7
2θ 34.81, 2.577 Å, I = 48.9
2θ 39.88, 2.261 Å, I = 75.6
2θ 40.48, 2.228 Å, I = 100.0
2θ 40.68, 2.218 Å, I = 54.0
2θ 44.98, 2.015 Å, I = 26.2
2θ 45.74, 1.983 Å, I = 16.0
2θ 65.36, 1.428 Å, I = 17.0
2θ 73.87, 1.283 Å, I = 13.9